# Li4Mn3Nb2Cr3O16
Simulated powder diffractogram, Cu Kα. Input: a crystal structure in Alexandria, relaxed with GGA+U.
Intensities are scaled so that the largest is 100.

Principal peaks in the range 10° ≤ 2θ ≤ 80°, by intensity:
- 2θ = 19.63°, d = 4.523 Å, I = 100
- 2θ = 19.28°, d = 4.604 Å, I = 67
- 2θ = 61.70°, d = 1.503 Å, I = 37
- 2θ = 34.43°, d = 2.605 Å, I = 34
- 2θ = 35.67°, d = 2.517 Å, I = 32
- 2θ = 18.18°, d = 4.880 Å, I = 31
- 2θ = 35.42°, d = 2.534 Å, I = 30
- 2θ = 32.20°, d = 2.780 Å, I = 29
- 2θ = 18.88°, d = 4.700 Å, I = 29
- 2θ = 32.87°, d = 2.725 Å, I = 24

Cell and atoms:
Cell lengths 6.019, 6.019, 9.770 Å; angles 92.23, 92.23, 59.03 degrees
Positions (direct):
1 Li 0.000 0.000 0.000
2 Li 0.009 0.009 0.500
3 Li 0.342 0.342 0.586
4 Li 0.670 0.670 0.089
5 Mn 0.173 0.173 0.277
6 Mn 0.341 0.832 0.775
7 Mn 0.832 0.341 0.775
8 Nb 0.335 0.335 0.001
9 Nb 0.684 0.684 0.497
10 Cr 0.174 0.665 0.275
11 Cr 0.665 0.174 0.275
12 Cr 0.832 0.832 0.776
13 O 0.007 0.007 0.186
14 O 0.038 0.489 0.146
15 O 0.156 0.660 0.902
16 O 0.162 0.162 0.897
17 O 0.334 0.334 0.377
18 O 0.339 0.830 0.402
19 O 0.483 0.483 0.151
20 O 0.489 0.038 0.146
21 O 0.525 0.525 0.652
22 O 0.532 0.971 0.641
23 O 0.660 0.156 0.902
24 O 0.669 0.669 0.876
25 O 0.830 0.339 0.402
26 O 0.841 0.841 0.391
27 O 0.971 0.532 0.641
28 O 0.999 0.999 0.687